# Fe2CuO4
Simulated PXRD pattern, Cu Kα (λ = 1.5418 Å). Input: a PBE+U-relaxed structure.
Lines closer than 0.1° are merged.

Top 6 peaks for 2θ = 5–70°, by angle:
2θ (°)  intensity
29.7  43
34.9  100
35.1  50
56.0  20
56.4  19
61.6  43

a = 5.9789 Å, b = 6.0346 Å, c = 8.5336 Å
α = 90.00°, β = 90.00°, γ = 90.00°
Space group Imma (No. 74)
Inequivalent atoms, fractional coordinates:
Fe1 0.0000 0.0000 0.0000
Fe2 0.2500 0.2500 0.2500
Cu1 0.0000 0.2500 0.6283
O1 0.0000 0.0214 0.2354
O2 0.2316 0.2500 0.0092